Starting from a crystal structure in Alexandria, relaxed with PBE, the X-ray powder pattern of Cd3In2Ga2 was computed for Cu Kα.
Neutral-atom scattering factors, no anomalous dispersion.

Main lines, low angle first (2θ = 10–90°):
d (Å)	two_theta	I_rel
2.656	33.7	1000
2.566	35.0	865
2.450	36.7	482
2.225	40.5	306
2.138	42.3	216
1.647	55.8	254
1.542	60.0	147
1.467	63.4	175
1.361	69.0	234
1.354	69.4	115

Atomic structure:
Lattice parameters (Å, degrees): 4.450 23.176 3.170 90.00 90.00 90.00
Fractional coordinates of all 14 atoms:
Cd  0.000  0.000  0.000
Cd  0.000  0.430  0.500
Cd  0.000  0.570  0.500
Cd  0.500  0.070  0.500
Cd  0.500  0.500  0.000
Cd  0.500  0.930  0.500
In  0.000  0.148  0.000
In  0.000  0.852  0.000
In  0.500  0.352  0.000
In  0.500  0.648  0.000
Ga  0.000  0.286  0.500
Ga  0.000  0.714  0.500
Ga  0.500  0.214  0.500
Ga  0.500  0.786  0.500



Starting from a crystal structure in Alexandria, relaxed with PBE, the X-ray powder pattern of Cd2In4Ga5 was computed for Cu Kα.
Neutral-atom scattering factors, no anomalous dispersion.

Main lines, low angle first (2θ = 10–90°):
d (Å)	two_theta	I_rel
2.608	34.4	1000
2.577	34.8	972
2.412	37.3	403
2.196	41.1	310
2.151	42.0	272
1.624	56.7	231
1.591	58.0	131
1.537	60.2	181
1.433	65.1	146
1.417	65.9	143

Atomic structure:
Lattice parameters (Å, degrees): 8.769 8.769 6.848 100.55 100.55 29.01
Fractional coordinates of all 11 atoms:
Cd  0.095  0.095  0.440
Cd  0.905  0.905  0.560
In  0.183  0.183  0.907
In  0.457  0.457  0.263
In  0.543  0.543  0.737
In  0.817  0.817  0.093
Ga  0.000  0.000  0.000
Ga  0.269  0.269  0.380
Ga  0.357  0.357  0.807
Ga  0.643  0.643  0.193
Ga  0.731  0.731  0.620



Starting from a crystal structure in Alexandria, relaxed with PBE, the X-ray powder pattern of Mg2CdInGa was computed for Cu Kα.
Neutral-atom scattering factors, no anomalous dispersion.

Main lines, low angle first (2θ = 10–90°):
d (Å)	two_theta	I_rel
4.878	18.2	191
3.730	23.9	218
3.711	24.0	230
2.576	34.8	1000
2.539	35.4	995
2.272	39.7	346
2.191	41.2	314
2.183	41.4	306
1.577	58.5	212
1.547	59.8	197

Atomic structure:
Lattice parameters (Å, degrees): 6.981 4.382 7.113 90.00 92.37 90.00
Fractional coordinates of all 10 atoms:
Mg  0.040  0.250  0.350
Mg  0.458  0.250  0.155
Mg  0.542  0.750  0.845
Mg  0.960  0.750  0.650
Cd  0.347  0.750  0.453
Cd  0.653  0.250  0.547
In  0.157  0.750  0.052
In  0.843  0.250  0.948
Ga  0.257  0.250  0.742
Ga  0.743  0.750  0.258